[1]
This entry pairs a crystal structure of Ac3Cl with its calculated X-ray diffraction stick pattern. Radiation: Cu Ka. Structure: DFT lattice parameters and positions (GGA-PBE).

Structure:
```
Ac3Cl
1.0
5.4603 0.0000 0.0000
0.0000 5.4603 0.0000
0.0000 0.0000 5.4603
Ac Cl
3 1
Direct
0.0000 0.0000 0.5000
0.0000 0.5000 0.0000
0.5000 0.0000 0.0000
0.5000 0.5000 0.5000
```

Principal peaks in the range 10 to 90 degrees two-theta, in order of rising 2θ:
Position (°2θ)	d/Å	I (rel.)
16.23	5.460	18
23.04	3.861	17
28.31	3.153	100
32.80	2.730	51
47.07	1.931	38
55.84	1.646	46
58.56	1.576	13
75.96	1.253	19
78.31	1.221	18
87.52	1.115	14

***

[2]
This entry pairs a crystal structure of CsHgBrCl2 with its calculated X-ray diffraction stick pattern. Radiation: Cu Ka. Structure: DFT lattice parameters and positions (GGA-PBE).

Structure:
```
CsHgBrCl2
1.0
5.4425 0.0000 0.0000
0.0000 5.4425 0.0000
0.0000 0.0000 5.6126
Cs Hg Br Cl
1 1 1 2
Direct
0.0000 0.0000 0.0000
0.5000 0.5000 0.5000
0.5000 0.5000 0.0000
0.0000 0.5000 0.5000
0.5000 0.0000 0.5000
```

Principal peaks in the range 10 to 90 degrees two-theta, in order of rising 2θ:
Position (°2θ)	d/Å	I (rel.)
16.29	5.443	40
22.76	3.907	100
23.11	3.848	90
31.89	2.806	42
32.91	2.721	77
39.75	2.267	46
40.39	2.233	46
46.48	1.954	57
47.24	1.924	27
58.13	1.587	29

***

[3]
This entry pairs a crystal structure of TiB with its calculated X-ray diffraction stick pattern. Radiation: Cu Ka. Structure: DFT lattice parameters and positions (GGA-PBE).

Structure:
```
TiB
1.0
6.1206 0.0000 0.0000
0.0000 3.0516 0.0000
0.0000 0.0000 4.5602
Ti B
4 4
Direct
0.1776 0.2500 0.1218
0.3224 0.7500 0.6218
0.6776 0.2500 0.3782
0.8224 0.7500 0.8782
0.0299 0.2500 0.5993
0.4701 0.7500 0.0993
0.5299 0.2500 0.9007
0.9701 0.7500 0.4007
```

Principal peaks in the range 10 to 90 degrees two-theta, in order of rising 2θ:
Position (°2θ)	d/Å	I (rel.)
29.18	3.060	28
35.36	2.538	100
38.42	2.343	99
41.80	2.161	71
42.30	2.137	81
46.51	1.953	36
48.91	1.862	39
52.27	1.750	32
69.01	1.361	40
76.76	1.242	23

***

[4]
This entry pairs a crystal structure of Cr3Si5 with its calculated X-ray diffraction stick pattern. Radiation: Cu Ka. Structure: DFT lattice parameters and positions (GGA-PBE).

Structure:
```
Cr3Si5
1.0
-4.6357 4.6357 2.3549
4.6357 -4.6357 2.3549
4.6357 4.6357 -2.3549
Cr Si
6 10
Direct
0.1728 0.6728 0.8455
0.2500 0.2500 0.0000
0.3272 0.1728 0.5000
0.6728 0.8272 0.5000
0.7500 0.7500 0.0000
0.8272 0.3272 0.1545
0.0698 0.2347 0.3045
0.2347 0.9302 0.1650
0.2500 0.7500 0.5000
0.2653 0.4302 0.6955
0.4302 0.7347 0.1650
0.5698 0.2653 0.8350
0.7347 0.5697 0.3045
0.7500 0.2500 0.5000
0.7653 0.0697 0.8350
0.9303 0.7653 0.6955
```

Principal peaks in the range 10 to 90 degrees two-theta, in order of rising 2θ:
Position (°2θ)	d/Å	I (rel.)
28.68	3.112	24
30.49	2.932	25
38.22	2.355	17
43.09	2.099	63
43.66	2.073	50
44.66	2.029	100
47.54	1.912	25
56.95	1.617	18
57.54	1.602	17
73.58	1.287	21

***

[5]
This entry pairs a crystal structure of Ca7SN6 with its calculated X-ray diffraction stick pattern. Radiation: Cu Ka. Structure: DFT lattice parameters and positions (GGA-PBE).

Structure:
```
Ca7SN6
1.0
12.1150 0.0000 0.0000
0.0000 6.3705 0.0000
0.0000 0.0000 12.4920
Ca S N
28 4 24
Direct
0.0000 0.1200 0.2500
0.0000 0.8800 0.7500
0.0657 0.2000 0.5018
0.0657 0.8000 0.0018
0.1865 0.3417 0.8965
0.1865 0.6583 0.3965
0.2216 0.4024 0.1676
0.2216 0.5976 0.6676
0.2784 0.0976 0.6676
0.2784 0.9024 0.1676
0.3135 0.1583 0.3965
0.3135 0.8417 0.8965
0.4343 0.3000 0.0018
0.4343 0.7000 0.5018
0.5000 0.3800 0.7500
0.5000 0.6200 0.2500
0.5657 0.3000 0.4982
0.5657 0.7000 0.9982
0.6865 0.1583 0.1035
0.6865 0.8417 0.6035
0.7216 0.0976 0.8324
0.7216 0.9024 0.3324
0.7784 0.4024 0.3324
0.7784 0.5976 0.8324
0.8135 0.3417 0.6035
0.8135 0.6583 0.1035
0.9343 0.2000 0.9982
0.9343 0.8000 0.4982
0.0000 0.4035 0.7500
0.0000 0.5965 0.2500
0.5000 0.0965 0.2500
0.5000 0.9035 0.7500
0.0983 0.2702 0.7034
0.0983 0.7298 0.2034
0.1248 0.1568 0.0537
0.1248 0.8432 0.5537
0.1523 0.2956 0.3412
0.1523 0.7044 0.8412
0.3477 0.2044 0.8412
0.3477 0.7956 0.3412
0.3752 0.3432 0.5537
0.3752 0.6568 0.0537
0.4017 0.2298 0.2034
0.4017 0.7702 0.7034
0.5983 0.2298 0.2966
0.5983 0.7702 0.7966
0.6248 0.3432 0.9463
0.6248 0.6568 0.4463
0.6523 0.2044 0.6588
0.6523 0.7956 0.1588
0.8477 0.2956 0.1588
0.8477 0.7044 0.6588
0.8752 0.1568 0.4463
0.8752 0.8432 0.9463
0.9017 0.2702 0.7966
0.9017 0.7298 0.2966
```

Principal peaks in the range 10 to 90 degrees two-theta, in order of rising 2θ:
Position (°2θ)	d/Å	I (rel.)
29.54	3.024	30
29.87	2.991	39
32.25	2.776	100
32.56	2.750	45
32.84	2.727	32
33.54	2.672	73
36.31	2.474	26
38.57	2.335	35
41.59	2.171	33
42.15	2.144	26

***

[6]
This entry pairs a crystal structure of PrGaAu2 with its calculated X-ray diffraction stick pattern. Radiation: Cu Ka. Structure: DFT lattice parameters and positions (GGA-PBE).

Structure:
```
PrGaAu2
1.0
0.0000 3.5399 3.5399
3.5399 0.0000 3.5399
3.5399 3.5399 0.0000
Pr Ga Au
1 1 2
Direct
0.0000 0.0000 0.0000
0.5000 0.5000 0.5000
0.2500 0.2500 0.2500
0.7500 0.7500 0.7500
```

Principal peaks in the range 10 to 90 degrees two-theta, in order of rising 2θ:
Position (°2θ)	d/Å	I (rel.)
21.74	4.088	3
25.16	3.540	10
35.88	2.503	100
44.32	2.044	3
51.64	1.770	18
58.28	1.583	5
64.48	1.445	37
76.04	1.252	11
81.59	1.180	2
87.05	1.119	17

***

[7]
This entry pairs a crystal structure of NpAl4 with its calculated X-ray diffraction stick pattern. Radiation: Cu Ka. Structure: DFT lattice parameters and positions (GGA-PBE).

Structure:
```
NpAl4
1.0
-2.2111 3.0720 6.9127
2.2111 -3.0720 6.9127
2.2111 3.0720 -6.9127
Np Al
2 8
Direct
0.3589 0.1089 0.2500
0.6411 0.8911 0.7500
0.0000 0.5000 0.5000
0.1365 0.8865 0.2500
0.1793 0.6990 0.4803
0.2814 0.3010 0.9803
0.5000 0.5000 0.0000
0.7186 0.6990 0.0197
0.8207 0.3010 0.5197
0.8635 0.1135 0.7500
```

Principal peaks in the range 10 to 90 degrees two-theta, in order of rising 2θ:
Position (°2θ)	d/Å	I (rel.)
15.78	5.615	59
21.09	4.212	50
24.14	3.687	53
25.78	3.456	25
28.01	3.186	100
36.19	2.482	66
38.39	2.344	51
39.24	2.296	35
40.80	2.212	38
48.88	1.863	23